Starting from a structure optimized by DFT (PBE), the XRD peak list of MgCuO2 was calculated for λ = 1.5418 Å (Cu Kα).

Structural model:
abc: 2.8789 7.5508 7.5649
angles: 96.65 90.29 90.02
Space group P1 (No. 1)
Asymmetric unit:
1 Mg 0.0000 0.0000 0.0000 x1
2 Mg 0.0054 0.7305 0.2403 x1
3 Mg 0.4964 0.6395 0.8920 x1
4 Mg 0.5046 0.3697 0.1325 x1
5 Cu 0.0037 0.4998 0.5104 x1
6 Cu 0.4971 0.8764 0.6255 x1
7 Cu 0.5079 0.0921 0.3555 x1
8 Cu 0.9983 0.2783 0.7759 x1
9 O 0.0007 0.5177 0.0262 x1
10 O 0.0045 0.9534 0.4664 x1
11 O 0.0073 0.2045 0.2317 x1
12 O 0.4994 0.1638 0.8985 x1
13 O 0.4989 0.4206 0.6672 x1
14 O 0.5023 0.8515 0.1065 x1
15 O 0.5054 0.5748 0.3601 x1
16 O 0.9948 0.7963 0.7735 x1

Main lines, sorted by position (2θ from 5° to 70°):
hkl 0 2 1, 27.79°, rel. 64.6
hkl 0 2 2, 35.73°, rel. 100.0
hkl 0 3 -1, 36.51°, rel. 63.2
hkl 1 2 -2, 44.90°, rel. 67.4
hkl 1 -2 2, 45.05°, rel. 66.0
hkl 1 0 4, 58.83°, rel. 54.6


Starting from a structure optimized by DFT (PBE), the XRD peak list of Na3CuO2 was calculated for λ = 1.5418 Å (Cu Kα).

Structural model:
abc: 6.7295 6.7295 13.7627
angles: 90.00 90.00 120.00
Space group R-3c (No. 167, hexagonal axes)
Asymmetric unit:
1 Na 0.0000 0.2591 0.2500 x18
2 Cu 0.0000 0.0000 0.0000 x6
3 O 0.0000 0.0000 0.1313 x12

Main lines, sorted by position (2θ from 5° to 70°):
hkl 0 1 2, 19.96°, rel. 65.4
hkl 1 1 0, 26.49°, rel. 100.0
hkl 2 0 2, 33.39°, rel. 75.2
hkl 1 2 2, 43.12°, rel. 68.1
hkl 3 0 0, 46.76°, rel. 59.7
hkl 1 1 6, 48.00°, rel. 67.1


Starting from a structure optimized by DFT (PBE), the XRD peak list of PdBr4N2 was calculated for λ = 1.5418 Å (Cu Kα).

Structural model:
abc: 7.2538 7.2538 3.4684
angles: 90.00 90.00 90.00
Space group P4/mmm (No. 123)
Asymmetric unit:
1 Pd 0.0000 0.0000 0.0000 x1
2 Br 0.2367 0.2367 0.0000 x4
3 N 0.0000 0.5000 0.5000 x2

Main lines, sorted by position (2θ from 5° to 70°):
hkl 1 0 0, 12.20°, rel. 100.0
hkl 2 0 0, 24.54°, rel. 37.2
hkl 0 0 1, 25.68°, rel. 79.5
hkl 2 2 0, 34.99°, rel. 87.0
hkl 2 0 1, 35.82°, rel. 46.2
hkl 2 2 1, 43.91°, rel. 71.2


Starting from a structure optimized by DFT (PBE), the XRD peak list of Ca2Ta2SnO8 was calculated for λ = 1.5418 Å (Cu Kα).

Structural model:
abc: 20.3309 6.7724 5.5018
angles: 90.00 90.21 90.00
Space group C2/c (No. 15)
Asymmetric unit:
1 Ca 0.2159 0.1473 0.2501 x8
2 Ta 0.1231 0.3573 0.7539 x8
3 Sn 0.0000 0.1860 0.2500 x4
4 O 0.0696 0.1716 0.8932 x8
5 O 0.0783 0.4035 0.4316 x8
6 O 0.1874 0.4221 0.0266 x8
7 O 0.1898 0.1683 0.6451 x8

Main lines, sorted by position (2θ from 5° to 70°):
hkl 3 1 0, 18.52°, rel. 41.4
hkl 3 1 1, 24.64°, rel. 96.1
hkl 5 1 1, 30.35°, rel. 100.0
hkl 0 2 1, 31.01°, rel. 74.5
hkl 0 0 2, 32.55°, rel. 40.6
hkl 8 2 -1, 47.69°, rel. 48.3


Starting from a structure optimized by DFT (PBE), the XRD peak list of Mg3Pd was calculated for λ = 1.5418 Å (Cu Kα).

Structural model:
abc: 8.0422 8.0422 8.4108
angles: 90.00 90.00 120.00
Space group P6_3cm (No. 185)
Asymmetric unit:
1 Mg 0.0000 0.0000 0.0000 x2
2 Mg 0.0000 0.2812 0.2422 x6
3 Mg 0.0000 0.3763 0.8985 x6
4 Mg 0.3333 0.6667 0.1190 x4
5 Pd 0.0000 0.3276 0.5709 x6

Main lines, sorted by position (2θ from 5° to 70°):
hkl 0 0 2, 21.13°, rel. 42.9
hkl 1 1 0, 22.11°, rel. 31.4
hkl 1 1 1, 24.54°, rel. 100.0
hkl 3 0 0, 38.79°, rel. 79.1
hkl 1 1 3, 39.17°, rel. 93.5
hkl 3 0 2, 44.58°, rel. 40.2


Starting from a structure optimized by DFT (PBE), the XRD peak list of TmGe was calculated for λ = 1.5418 Å (Cu Kα).

Structural model:
abc: 4.2329 10.6010 3.9127
angles: 90.00 90.00 90.00
Space group Cmcm (No. 63)
Asymmetric unit:
1 Tm 0.0000 0.1381 0.2500 x4
2 Ge 0.0000 0.4127 0.2500 x4

Main lines, sorted by position (2θ from 5° to 70°):
hkl 0 2 1, 28.35°, rel. 24.0
hkl 1 1 1, 32.28°, rel. 100.0
hkl 1 3 0, 33.02°, rel. 32.2
hkl 0 4 0, 33.82°, rel. 32.5
hkl 1 3 1, 40.46°, rel. 50.3
hkl 2 0 0, 42.72°, rel. 24.5


Starting from a structure optimized by DFT (PBE), the XRD peak list of EuMg2As2 was calculated for λ = 1.5418 Å (Cu Kα).

Structural model:
abc: 4.4190 4.4190 7.3185
angles: 90.00 90.00 120.00
Space group P-3m1 (No. 164)
Asymmetric unit:
1 Eu 0.0000 0.0000 0.0000 x1
2 Mg 0.3333 0.6667 0.6312 x2
3 As 0.3333 0.6667 0.2567 x2

Main lines, sorted by position (2θ from 5° to 70°):
hkl 0 0 1, 12.09°, rel. 28.0
hkl 0 1 1, 26.28°, rel. 100.0
hkl 0 1 2, 33.89°, rel. 70.5
hkl 1 1 0, 40.84°, rel. 49.3
hkl 1 0 3, 44.02°, rel. 25.2
hkl 2 0 2, 54.08°, rel. 18.3